Computed powder X-ray diffraction pattern
Compound: ScSiH3
Radiation: Cu Kα (weighted mean of Kα1 and Kα2)
Structure: a DFT-relaxed cell (PBE, Alexandria)
Kinematic intensities with the Lorentz-polarization factor, no thermal factor.

Crystal structure
```
data_ScSiH3
_chemical_formula_sum 'Sc1 Si1 H3'
_cell_length_a 3.7188
_cell_length_b 3.7188
_cell_length_c 3.7188
_cell_angle_alpha 90.00
_cell_angle_beta 90.00
_cell_angle_gamma 90.00
_symmetry_space_group_name_H-M 'P m -3 m'
_symmetry_Int_Tables_number 221
_symmetry_space_group_name_Hall '-P 4 2 3'
loop_
_atom_site_label
_atom_site_type_symbol
_atom_site_fract_x
_atom_site_fract_y
_atom_site_fract_z
_atom_site_occupancy
Sc1 Sc 0.0000 0.0000 0.0000 1
Si1 Si 0.5000 0.5000 0.5000 1
H1 H 0.0000 0.0000 0.5000 1
```

Principal peaks in the range 2θ from 15° to 90°, in order of falling intensity:
2θ/deg	intensity	index
34.10	100	1 1 0
61.03	33	2 1 1
48.99	19	2 0 0
81.92	14	3 1 0
71.80	11	2 2 0
23.93	8	1 0 0